No. 1
# Y2Lu4Ga3N3
Calculated powder XRD pattern, a wavelength of 1.5418 Å. Input: the PBE geometry in OQMD.
Intensities are scaled so that the largest is 100.

Main lines, in order of falling intensity (10 to 80 degrees two-theta):
2θ/deg	I_rel
35.6	100
35.7	49
30.4	30
36.9	29
31.0	24
54.0	19
12.1	17
48.6	12

Atomic structure:
a b c (Å): 5.8893 5.8893 15.0313
angles (deg): 101.56 101.56 59.94
Element x y z (fractional)
Y (0.0377, 0.8731, 0.6098)
Y (0.1269, 0.9623, 0.8902)
Y (0.8731, 0.0377, 0.1098)
Y (0.9623, 0.1269, 0.3902)
Lu (0.1944, 0.3575, 0.0845)
Lu (0.3000, 0.4772, 0.4155)
Lu (0.3575, 0.1944, 0.5845)
Lu (0.4772, 0.3000, 0.9155)
Lu (0.5228, 0.7000, 0.0845)
Lu (0.6425, 0.8056, 0.4155)
Lu (0.7000, 0.5228, 0.5845)
Lu (0.8056, 0.6425, 0.9155)
Ga (0.0848, 0.3604, 0.7500)
Ga (0.3604, 0.0848, 0.2500)
Ga (0.4674, 0.5326, 0.2500)
Ga (0.5326, 0.4674, 0.7500)
Ga (0.6396, 0.9152, 0.7500)
Ga (0.9152, 0.6396, 0.2500)
N (0.0000, 0.5000, 0.5000)
N (0.1665, 0.6668, 0.9999)
N (0.3332, 0.8335, 0.5001)
N (0.5000, 0.0000, 0.0000)
N (0.6668, 0.1665, 0.4999)
N (0.8335, 0.3332, 0.0001)

=====

No. 2
# TaSnF7
Calculated powder XRD pattern, a wavelength of 1.5418 Å. Input: the PBE geometry in OQMD.
Intensities are scaled so that the largest is 100.

Main lines, in order of falling intensity (10 to 80 degrees two-theta):
2θ/deg	I_rel
25.8	100
27.1	99
25.0	72
46.2	34
45.4	34
27.3	34
44.6	30
30.1	27

Atomic structure:
a b c (Å): 4.7212 7.1174 6.5530
angles (deg): 90.00 93.89 90.00
Element x y z (fractional)
Ta (0.0385, 0.2500, 0.2082)
Ta (0.9615, 0.7500, 0.7918)
Sn (0.4853, 0.2500, 0.6824)
Sn (0.5147, 0.7500, 0.3176)
F (0.0982, 0.7500, 0.5093)
F (0.1218, 0.7500, 0.0795)
F (0.1899, 0.5281, 0.8040)
F (0.1899, 0.9719, 0.8040)
F (0.3060, 0.0690, 0.3591)
F (0.3060, 0.4310, 0.3591)
F (0.3672, 0.2500, 0.0486)
F (0.6328, 0.7500, 0.9514)
F (0.6940, 0.5690, 0.6409)
F (0.6940, 0.9310, 0.6409)
F (0.8101, 0.0281, 0.1960)
F (0.8101, 0.4719, 0.1960)
F (0.8782, 0.2500, 0.9205)
F (0.9018, 0.2500, 0.4907)

=====

No. 3
# MgHg2TeO6
Calculated powder XRD pattern, a wavelength of 1.5418 Å. Input: the PBE geometry in OQMD.
Intensities are scaled so that the largest is 100.

Main lines, in order of falling intensity (10 to 80 degrees two-theta):
2θ/deg	I_rel
32.2	100
57.4	40
46.2	29
22.6	20
76.7	18
67.4	18
39.7	17
52.0	10

Atomic structure:
a b c (Å): 5.5571 5.5571 5.5571
angles (deg): 60.00 60.00 60.00
Element x y z (fractional)
Mg (0.0000, 0.0000, 0.0000)
Hg (0.2500, 0.2500, 0.2500)
Hg (0.7500, 0.7500, 0.7500)
Te (0.5000, 0.5000, 0.5000)
O (0.2560, 0.2560, 0.7440)
O (0.2560, 0.7440, 0.2560)
O (0.2560, 0.7440, 0.7440)
O (0.7440, 0.2560, 0.2560)
O (0.7440, 0.2560, 0.7440)
O (0.7440, 0.7440, 0.2560)

=====

No. 4
# AuBr8N
Calculated powder XRD pattern, a wavelength of 1.5418 Å. Input: the PBE geometry in OQMD.
Intensities are scaled so that the largest is 100.

Main lines, in order of falling intensity (10 to 80 degrees two-theta):
2θ/deg	I_rel
23.0	100
13.1	64
21.8	61
28.9	53
10.9	49
26.3	48
22.1	47
34.4	46

Atomic structure:
a b c (Å): 8.2733 8.8625 9.6160
angles (deg): 94.92 99.68 91.12
Element x y z (fractional)
Au (0.0106, 0.1351, 0.1888)
Au (0.9894, 0.8649, 0.8112)
Br (0.0435, 0.6818, 0.9912)
Br (0.0606, 0.9292, 0.3467)
Br (0.0928, 0.5926, 0.5699)
Br (0.2770, 0.8546, 0.7726)
Br (0.3096, 0.1547, 0.1789)
Br (0.3849, 0.2686, 0.8789)
Br (0.4078, 0.4812, 0.2427)
Br (0.4213, 0.2283, 0.5525)
Br (0.5787, 0.7717, 0.4475)
Br (0.5922, 0.5188, 0.7573)
Br (0.6151, 0.7314, 0.1211)
Br (0.6904, 0.8453, 0.8211)
Br (0.7230, 0.1454, 0.2274)
Br (0.9072, 0.4074, 0.4301)
Br (0.9394, 0.0708, 0.6533)
Br (0.9565, 0.3182, 0.0088)
N (0.4863, 0.6920, 0.2605)
N (0.5137, 0.3080, 0.7395)

=====

What did the fourth record say?
# AuBr8N
Calculated powder XRD pattern, a wavelength of 1.5418 Å. Input: the PBE geometry in OQMD.
Intensities are scaled so that the largest is 100.

Main lines, in order of falling intensity (10 to 80 degrees two-theta):
2θ/deg	I_rel
23.0	100
13.1	64
21.8	61
28.9	53
10.9	49
26.3	48
22.1	47
34.4	46

Atomic structure:
a b c (Å): 8.2733 8.8625 9.6160
angles (deg): 94.92 99.68 91.12
Element x y z (fractional)
Au (0.0106, 0.1351, 0.1888)
Au (0.9894, 0.8649, 0.8112)
Br (0.0435, 0.6818, 0.9912)
Br (0.0606, 0.9292, 0.3467)
Br (0.0928, 0.5926, 0.5699)
Br (0.2770, 0.8546, 0.7726)
Br (0.3096, 0.1547, 0.1789)
Br (0.3849, 0.2686, 0.8789)
Br (0.4078, 0.4812, 0.2427)
Br (0.4213, 0.2283, 0.5525)
Br (0.5787, 0.7717, 0.4475)
Br (0.5922, 0.5188, 0.7573)
Br (0.6151, 0.7314, 0.1211)
Br (0.6904, 0.8453, 0.8211)
Br (0.7230, 0.1454, 0.2274)
Br (0.9072, 0.4074, 0.4301)
Br (0.9394, 0.0708, 0.6533)
Br (0.9565, 0.3182, 0.0088)
N (0.4863, 0.6920, 0.2605)
N (0.5137, 0.3080, 0.7395)

=====

Q: Which formula does entry 2 have?
A: TaSnF7

=====

Please write out number 2 again, unchanged.
# TaSnF7
Calculated powder XRD pattern, a wavelength of 1.5418 Å. Input: the PBE geometry in OQMD.
Intensities are scaled so that the largest is 100.

Main lines, in order of falling intensity (10 to 80 degrees two-theta):
2θ/deg	I_rel
25.8	100
27.1	99
25.0	72
46.2	34
45.4	34
27.3	34
44.6	30
30.1	27

Atomic structure:
a b c (Å): 4.7212 7.1174 6.5530
angles (deg): 90.00 93.89 90.00
Element x y z (fractional)
Ta (0.0385, 0.2500, 0.2082)
Ta (0.9615, 0.7500, 0.7918)
Sn (0.4853, 0.2500, 0.6824)
Sn (0.5147, 0.7500, 0.3176)
F (0.0982, 0.7500, 0.5093)
F (0.1218, 0.7500, 0.0795)
F (0.1899, 0.5281, 0.8040)
F (0.1899, 0.9719, 0.8040)
F (0.3060, 0.0690, 0.3591)
F (0.3060, 0.4310, 0.3591)
F (0.3672, 0.2500, 0.0486)
F (0.6328, 0.7500, 0.9514)
F (0.6940, 0.5690, 0.6409)
F (0.6940, 0.9310, 0.6409)
F (0.8101, 0.0281, 0.1960)
F (0.8101, 0.4719, 0.1960)
F (0.8782, 0.2500, 0.9205)
F (0.9018, 0.2500, 0.4907)